# 1
Diffraction record for KMgIn. The PXRD pattern is simulated, not measured: it uses a GGA-PBE-relaxed structure and CuKα.

The 6 most intense peaks (15 to 90 degrees two-theta), by intensity:
30.68°, d 2.914, I 1000; 16.66°, d 5.320, I 923; 35.27°, d 2.545, I 800; 33.84°, d 2.649, I 755; 23.71°, d 3.753, I 637; 37.97°, d 2.370, I 507

Crystal structure
Lattice parameters (Å, degrees): 5.803 5.299 7.179 90.00 113.38 90.00
Element x y z (fractional)
K  0.229  0.250  0.020
K  0.771  0.750  0.980
Mg  0.147  0.750  0.551
Mg  0.853  0.250  0.449
In  0.432  0.250  0.604
In  0.568  0.750  0.396


# 2
Diffraction record for Cd4Cl3O2. The PXRD pattern is simulated, not measured: it uses a GGA-PBE-relaxed structure and CuKα.

The 6 most intense peaks (15 to 90 degrees two-theta), by intensity:
29.78°, d 3.000, I 1000; 15.91°, d 5.570, I 480; 27.53°, d 3.240, I 340; 35.17°, d 2.552, I 335; 44.49°, d 2.036, I 288; 28.86°, d 3.094, I 253

Crystal structure
Lattice parameters (Å, degrees): 6.998 6.998 9.754 122.06 122.06 33.85
Element x y z (fractional)
Cd  0.145  0.145  0.375
Cd  0.306  0.306  0.878
Cd  0.694  0.694  0.122
Cd  0.855  0.855  0.625
Cl  0.000  0.000  0.000
Cl  0.354  0.354  0.176
Cl  0.646  0.646  0.824
O  0.299  0.299  0.653
O  0.701  0.701  0.347